Theoretical XRD peak list
Compound: Na3CaNbSi2SO12
Radiation: Cu Ka
Structure: DFT lattice parameters and positions (GGA-PBE)

Peak list (12 most intense, 2θ from 10° to 90°, in order of rising 2θ)
| 2θ (°) | d (Å) | I (rel.) |
| --- | --- | --- |
| 13.49 | 6.564 | 58 |
| 18.96 | 4.680 | 33 |
| 19.13 | 4.640 | 100 |
| 22.28 | 3.989 | 22 |
| 22.40 | 3.970 | 33 |
| 22.53 | 3.946 | 21 |
| 26.92 | 3.312 | 24 |
| 27.17 | 3.282 | 24 |
| 30.13 | 2.966 | 47 |
| 30.30 | 2.949 | 50 |
| 30.49 | 2.932 | 54 |
| 33.40 | 2.683 | 73 |

Structure:
```
data_Na3CaNbSi2SO12
_chemical_formula_sum 'Na6 Ca2 Nb2 Si4 S2 O24'
_space_group_name_H-M_alt 'P 1'
_space_group_IT_number 1
_cell_length_a 9.290
_cell_length_b 9.290
_cell_length_c 9.265
_cell_angle_alpha 119.40
_cell_angle_beta 119.40
_cell_angle_gamma 60.08
loop_
_space_group_symop_operation_xyz
'x,y,z'
loop_
_atom_site_label
_atom_site_fract_x
_atom_site_fract_y
_atom_site_fract_z
_atom_site_occupancy
Na1 0.041 0.959 0.500 1
Na2 0.305 0.851 0.253 1
Na3 0.567 0.763 0.040 1
Na4 0.763 0.567 0.540 1
Na5 0.851 0.305 0.753 1
Na6 0.959 0.041 0.000 1
Ca1 0.182 0.676 0.827 1
Ca2 0.676 0.182 0.327 1
Nb1 0.475 0.980 0.715 1
Nb2 0.980 0.475 0.215 1
Si1 0.091 0.278 0.525 1
Si2 0.278 0.091 0.025 1
Si3 0.782 0.880 0.534 1
Si4 0.880 0.782 0.034 1
S1 0.370 0.597 0.523 1
S2 0.597 0.370 0.023 1
O1 0.050 0.324 0.344 1
O2 0.057 0.749 0.015 1
O3 0.097 0.272 0.041 1
O4 0.120 0.445 0.686 1
O5 0.210 0.559 0.372 1
O6 0.252 0.925 0.009 1
O7 0.272 0.097 0.541 1
O8 0.324 0.050 0.844 1
O9 0.361 0.766 0.523 1
O10 0.364 0.627 0.690 1
O11 0.445 0.120 0.186 1
O12 0.462 0.536 0.997 1
O13 0.536 0.462 0.497 1
O14 0.559 0.210 0.872 1
O15 0.607 0.877 0.545 1
O16 0.627 0.364 0.190 1
O17 0.686 0.836 0.860 1
O18 0.749 0.057 0.515 1
O19 0.766 0.361 0.023 1
O20 0.836 0.686 0.360 1
O21 0.857 0.945 0.206 1
O22 0.877 0.607 0.045 1
O23 0.925 0.252 0.509 1
O24 0.945 0.857 0.706 1
```